Record 1
For DyTmCu2, a GGA-PBE-relaxed structure gives the theoretical powder XRD pattern in this record (Cu Kα (weighted mean of Kα1 and Kα2)).

Largest 6 diffraction maxima, in order of rising 2θ, 2θ from 5° to 70°:
(2 0 0), d 3.445, I 20.4; (2 2 0), d 2.436, I 100.0; (2 2 2), d 1.989, I 6.2; (4 0 0), d 1.723, I 17.3; (4 2 0), d 1.541, I 8.6; (4 2 2), d 1.406, I 34.7

```
data_DyTmCu2
_cell_length_a 6.8902
_cell_length_b 6.8902
_cell_length_c 6.8902
_cell_angle_alpha 90.00
_cell_angle_beta 90.00
_cell_angle_gamma 90.00
_symmetry_space_group_name_H-M 'F m -3 m'
_symmetry_Int_Tables_number 225
_symmetry_space_group_name_Hall '-F 4 2 3'
loop_
_atom_site_label
_atom_site_fract_x
_atom_site_fract_y
_atom_site_fract_z
Dy1 0.0000 0.0000 0.0000
Tm1 0.0000 0.0000 0.5000
Cu1 0.2500 0.2500 0.2500
```

---

Record 2
For DyYCu2, a GGA-PBE-relaxed structure gives the theoretical powder XRD pattern in this record (Cu Kα (weighted mean of Kα1 and Kα2)).

Largest 8 diffraction maxima, in order of rising 2θ, 2θ from 5° to 70°:
(1 1 1), d 4.012, I 7.2; (2 0 0), d 3.475, I 10.4; (2 2 0), d 2.457, I 100.0; (3 1 1), d 2.095, I 4.1; (2 2 2), d 2.006, I 3.1; (4 0 0), d 1.737, I 17.1; (4 2 0), d 1.554, I 4.4; (4 2 2), d 1.418, I 34.0

```
data_DyYCu2
_cell_length_a 6.9491
_cell_length_b 6.9491
_cell_length_c 6.9491
_cell_angle_alpha 90.00
_cell_angle_beta 90.00
_cell_angle_gamma 90.00
_symmetry_space_group_name_H-M 'F m -3 m'
_symmetry_Int_Tables_number 225
_symmetry_space_group_name_Hall '-F 4 2 3'
loop_
_atom_site_label
_atom_site_fract_x
_atom_site_fract_y
_atom_site_fract_z
Dy1 0.0000 0.0000 0.0000
Y1 0.0000 0.0000 0.5000
Cu1 0.2500 0.2500 0.2500
```

---

Record 3
For ErCu, a GGA-PBE-relaxed structure gives the theoretical powder XRD pattern in this record (Cu Kα (weighted mean of Kα1 and Kα2)).

Largest 6 diffraction maxima, in order of rising 2θ, 2θ from 5° to 70°:
(1 0 0), d 3.434, I 20.8; (1 1 0), d 2.428, I 100.0; (1 1 1), d 1.983, I 6.3; (2 0 0), d 1.717, I 17.2; (2 1 0), d 1.536, I 8.8; (2 1 1), d 1.402, I 34.6

```
data_ErCu
_cell_length_a 3.4341
_cell_length_b 3.4341
_cell_length_c 3.4341
_cell_angle_alpha 90.00
_cell_angle_beta 90.00
_cell_angle_gamma 90.00
_symmetry_space_group_name_H-M 'P m -3 m'
_symmetry_Int_Tables_number 221
_symmetry_space_group_name_Hall '-P 4 2 3'
loop_
_atom_site_label
_atom_site_fract_x
_atom_site_fract_y
_atom_site_fract_z
Er1 0.0000 0.0000 0.0000
Cu1 0.5000 0.5000 0.5000
```

---

Record 4
For Er2GaCu, a GGA-PBE-relaxed structure gives the theoretical powder XRD pattern in this record (Cu Kα (weighted mean of Kα1 and Kα2)).

Largest 8 diffraction maxima, in order of rising 2θ, 2θ from 5° to 70°:
(0 0 2), d 3.517, I 9.7; (1 0 0), d 3.494, I 19.4; (1 0 2), d 2.479, I 100.0; (1 1 0), d 2.471, I 49.9; (1 1 2), d 2.022, I 8.7; (2 0 0), d 1.747, I 17.4; (1 1 4), d 1.433, I 17.4; (2 1 2), d 1.428, I 35.1

```
data_Er2GaCu
_cell_length_a 3.4944
_cell_length_b 3.4944
_cell_length_c 7.0349
_cell_angle_alpha 90.00
_cell_angle_beta 90.00
_cell_angle_gamma 90.00
_symmetry_space_group_name_H-M 'P 4/m m m'
_symmetry_Int_Tables_number 123
_symmetry_space_group_name_Hall '-P 4 2'
loop_
_atom_site_label
_atom_site_fract_x
_atom_site_fract_y
_atom_site_fract_z
Er1 0.0000 0.0000 0.2421
Ga1 0.5000 0.5000 0.5000
Cu1 0.5000 0.5000 0.0000
```